[1]
Calculated powder X-ray diffraction pattern
Compound: Pa2Zn16Ru
Radiation: λ = 1.5418 Å (Cu Kα)
Structure: a crystal structure in Alexandria, relaxed with PBE

Main lines, low angle first (2θ from 10° to 90°):
2θ/deg  I_rel
28.6  42
33.2  28
34.2  55
36.1  28
39.8  76
40.3  100
41.9  27
42.1  35
57.9  19
59.3  26
72.2  20
75.7  19

```
Pa2Zn16Ru
1.0
4.535 2.618 4.296
-4.535 2.618 4.296
0.000 -5.236 4.296
Pa Zn Ru
2 16 1
Cartesian
0.000 0.000 0.000
0.000 0.000 4.399
0.000 -2.528 2.550
-2.189 1.264 2.550
-2.205 -1.273 6.654
0.000 -2.732 6.434
-2.366 1.366 6.434
-1.312 -2.280 8.834
-2.630 0.004 8.834
2.189 1.264 2.550
0.000 0.000 7.541
2.205 -1.273 6.654
0.000 2.546 6.654
1.312 -2.280 8.834
-1.318 2.276 8.834
2.366 1.366 6.434
2.630 0.004 8.834
1.318 2.276 8.834
0.000 0.000 10.459
```

[2]
Calculated powder X-ray diffraction pattern
Compound: Zr3PaRu4
Radiation: λ = 1.5418 Å (Cu Kα)
Structure: a crystal structure in Alexandria, relaxed with PBE

Main lines, low angle first (2θ from 10° to 90°):
2θ/deg  I_rel
19.0  6
21.3  5
34.4  3
38.3  100
38.4  25
38.5  25
55.0  9
55.6  17
69.2  17
69.4  17
69.6  17
82.0  11

```
Zr3PaRu4
1.0
3.337 0.000 0.000
0.000 4.671 0.000
0.000 0.000 9.374
Zr Pa Ru
3 1 4
Cartesian
0.000 0.000 0.000
0.000 2.335 2.251
0.000 2.335 7.123
0.000 0.000 4.687
1.668 0.000 2.315
1.668 0.000 7.058
1.668 2.335 0.000
1.668 2.335 4.687
```

[3]
Calculated powder X-ray diffraction pattern
Compound: Pa2S5
Radiation: λ = 1.5418 Å (Cu Kα)
Structure: a crystal structure in Alexandria, relaxed with PBE

Main lines, low angle first (2θ from 10° to 90°):
2θ/deg  I_rel
20.7  100
24.8  28
25.8  57
27.4  23
28.9  17
38.2  33
38.4  24
40.2  19
41.8  21
42.2  13
49.4  14
50.2  15

```
Pa2S5
1.0
7.215 -3.093 0.000
7.215 3.093 0.000
-0.794 0.000 6.888
Pa S
4 10
Cartesian
4.861 1.732 6.265
8.378 1.732 4.068
5.258 -1.732 2.821
8.775 -1.732 0.623
7.016 2.589 1.722
2.529 0.495 5.664
5.505 0.721 3.943
2.926 -0.495 2.219
7.733 0.721 6.390
5.902 -0.721 0.499
10.709 0.495 4.669
8.130 -0.721 2.946
11.106 -0.495 1.225
6.619 -2.589 5.166
```

[4]
Calculated powder X-ray diffraction pattern
Compound: PaSb2S5
Radiation: λ = 1.5418 Å (Cu Kα)
Structure: a crystal structure in Alexandria, relaxed with PBE

Main lines, low angle first (2θ from 10° to 90°):
2θ/deg  I_rel
22.8  50
25.3  100
25.8  92
26.4  24
26.6  52
35.3  67
37.6  41
39.4  32
44.5  40
45.9  37
51.9  26
52.0  25

```
PaSb2S5
1.0
11.817 0.000 0.000
0.000 8.146 0.000
0.000 0.000 7.802
Pa Sb S
4 8 20
Cartesian
0.076 2.037 0.569
5.832 6.110 4.470
5.985 2.037 3.332
11.741 6.110 7.232
2.019 0.157 4.072
2.019 3.917 4.072
3.889 4.230 0.171
3.889 7.990 0.171
7.928 0.157 7.631
7.928 3.917 7.631
9.798 4.230 3.730
9.798 7.990 3.730
0.094 2.037 3.469
0.943 0.306 6.452
0.943 3.767 6.452
2.311 6.110 1.038
2.660 2.037 1.334
3.249 6.110 5.235
3.598 2.037 4.939
4.966 4.379 2.551
4.966 7.840 2.551
5.814 6.110 7.370
6.003 2.037 0.432
6.852 0.306 5.250
6.852 3.767 5.250
8.220 6.110 2.863
8.568 2.037 2.567
9.158 6.110 6.468
9.507 2.037 6.764
10.875 4.379 1.350
10.875 7.840 1.350
11.723 6.110 4.332
```

[5]
Calculated powder X-ray diffraction pattern
Compound: Sr2PaSbS6
Radiation: λ = 1.5418 Å (Cu Kα)
Structure: a crystal structure in Alexandria, relaxed with PBE

Main lines, low angle first (2θ from 10° to 90°):
2θ/deg  I_rel
16.3  39
17.0  36
23.6  100
24.1  56
34.3  58
37.3  39
38.2  18
41.2  19
42.1  45
48.3  18
49.3  20
51.6  30

```
Sr2PaSbS6
1.0
7.387 0.000 0.000
0.000 7.387 0.000
0.000 0.000 5.434
Sr Pa Sb S
2 1 1 6
Cartesian
0.000 3.694 0.000
3.694 0.000 0.000
0.000 0.000 3.539
3.694 3.694 3.306
0.000 0.000 0.904
1.819 1.819 3.809
1.819 5.568 3.809
3.694 3.694 0.898
5.568 1.819 3.809
5.568 5.568 3.809
```

[6]
Calculated powder X-ray diffraction pattern
Compound: ScPa3S6
Radiation: λ = 1.5418 Å (Cu Kα)
Structure: a crystal structure in Alexandria, relaxed with PBE

Main lines, low angle first (2θ from 10° to 90°):
2θ/deg  I_rel
11.5  20
23.0  100
24.4  21
25.5  85
27.2  18
28.6  33
37.7  22
39.9  80
45.7  19
46.0  36
47.1  25
50.1  26

```
ScPa3S6
1.0
4.778 -6.548 0.000
4.778 6.548 0.000
0.000 0.000 4.129
Sc Pa S
1 3 6
Cartesian
0.000 0.000 0.000
2.389 3.274 2.064
2.389 -3.274 2.064
4.778 0.000 0.000
4.778 4.772 2.064
2.687 1.599 0.000
2.687 -1.599 0.000
6.869 1.599 0.000
6.869 -1.599 0.000
4.778 -4.772 2.064
```

[7]
Calculated powder X-ray diffraction pattern
Compound: ScPa5S6
Radiation: λ = 1.5418 Å (Cu Kα)
Structure: a crystal structure in Alexandria, relaxed with PBE

Main lines, low angle first (2θ from 10° to 90°):
2θ/deg  I_rel
28.0  74
29.1  23
32.8  100
46.4  38
47.7  35
55.1  12
55.7  24
56.9  12
57.9  20
68.7  12
77.2  17
79.3  16

```
ScPa5S6
1.0
3.271 -5.871 0.000
3.271 5.871 0.000
-2.344 0.000 6.372
Sc Pa S
1 5 6
Cartesian
0.000 0.000 0.000
2.099 3.886 3.186
3.271 1.965 0.000
2.099 0.000 3.186
3.271 -1.965 0.000
2.099 -3.886 3.186
1.018 1.892 1.539
-0.187 0.000 4.812
1.018 -1.892 1.539
3.181 1.892 4.833
4.386 0.000 1.561
3.181 -1.892 4.833
```

[8]
Calculated powder X-ray diffraction pattern
Compound: Pa3Se2S2
Radiation: λ = 1.5418 Å (Cu Kα)
Structure: a crystal structure in Alexandria, relaxed with PBE

Main lines, low angle first (2θ from 10° to 90°):
2θ/deg  I_rel
13.5  41
18.4  33
25.9  47
26.2  29
26.4  100
26.8  43
34.3  24
36.4  77
37.2  76
38.7  65
46.0  55
46.8  27

```
Pa3Se2S2
1.0
7.602 0.000 0.000
0.000 6.882 0.000
-4.102 0.000 6.951
Pa Se S
6 4 4
Cartesian
0.000 0.000 0.000
-2.051 3.441 3.475
-1.017 0.096 5.130
1.034 3.345 1.655
2.466 3.537 5.296
4.517 6.787 1.821
-2.509 4.632 6.056
-0.458 5.691 2.581
3.958 1.191 4.370
6.009 2.250 0.895
2.395 1.179 0.652
0.344 2.262 4.128
3.156 4.621 2.823
1.105 5.703 6.298
```

[9]
Calculated powder X-ray diffraction pattern
Compound: Pa3Se2S3
Radiation: λ = 1.5418 Å (Cu Kα)
Structure: a crystal structure in Alexandria, relaxed with PBE

Main lines, low angle first (2θ from 10° to 90°):
2θ/deg  I_rel
23.4  63
24.9  31
26.8  14
36.0  13
36.2  100
38.9  25
40.2  16
45.3  14
46.8  13
50.2  12
56.2  25
68.7  16

```
Pa3Se2S3
1.0
3.634 0.000 0.000
0.000 4.628 0.000
0.000 0.000 19.968
Pa Se S
6 4 6
Cartesian
0.000 0.000 0.000
0.000 2.314 2.968
0.000 2.314 17.000
1.817 0.000 7.016
1.817 0.000 12.952
1.817 2.314 9.984
0.000 0.000 4.772
0.000 0.000 15.196
1.817 2.314 5.212
1.817 2.314 14.756
0.000 0.000 9.984
0.000 2.314 7.803
0.000 2.314 12.165
1.817 0.000 2.181
1.817 0.000 17.787
1.817 2.314 0.000
```

[10]
Calculated powder X-ray diffraction pattern
Compound: Pa3Se2S
Radiation: λ = 1.5418 Å (Cu Kα)
Structure: a crystal structure in Alexandria, relaxed with PBE

Main lines, low angle first (2θ from 10° to 90°):
2θ/deg  I_rel
26.2  15
27.1  30
28.7  13
31.6  100
43.7  26
44.9  13
45.7  12
47.0  23
53.8  6
56.0  15
59.5  6
66.0  7

```
Pa3Se2S
1.0
3.624 -6.058 0.000
3.624 6.058 0.000
-2.252 0.000 6.215
Pa Se S
6 4 2
Cartesian
1.812 3.029 0.000
0.523 0.937 3.050
-0.603 -0.937 6.157
0.686 -3.029 3.107
5.599 0.937 0.058
4.473 -0.937 3.165
1.935 2.896 4.661
3.061 0.972 1.554
1.935 -0.972 4.661
3.061 -2.896 1.554
3.061 4.952 1.554
1.935 -4.952 4.661
```

[11]
Calculated powder X-ray diffraction pattern
Compound: Pa2SeS4
Radiation: λ = 1.5418 Å (Cu Kα)
Structure: a crystal structure in Alexandria, relaxed with PBE

Main lines, low angle first (2θ from 10° to 90°):
2θ/deg  I_rel
13.1  100
14.4  81
21.6  57
23.6  75
26.3  43
27.0  78
29.0  34
31.7  26
34.6  52
37.2  70
42.8  83
46.3  41

```
Pa2SeS4
1.0
-3.920 6.739 3.452
3.920 -6.739 3.452
3.920 6.739 -3.452
Pa Se S
4 2 8
Cartesian
0.000 0.000 0.000
3.920 0.000 0.000
1.960 4.100 0.578
1.960 2.640 4.029
1.960 -1.485 1.300
5.880 1.485 1.300
3.742 2.707 -0.912
4.098 -4.032 2.539
5.880 -1.460 1.574
1.960 1.460 1.574
0.178 4.032 2.539
3.742 4.032 2.539
1.960 6.697 1.537
1.960 0.042 4.988
```

[12]
Calculated powder X-ray diffraction pattern
Compound: Pa2Se3S2
Radiation: λ = 1.5418 Å (Cu Kα)
Structure: a crystal structure in Alexandria, relaxed with PBE

Main lines, low angle first (2θ from 10° to 90°):
2θ/deg  I_rel
17.4  31
22.9  100
26.1  41
32.0  39
35.2  39
36.7  96
38.4  57
41.9  23
45.9  43
52.0  24
59.2  35
61.4  30

```
Pa2Se3S2
1.0
3.950 0.000 0.000
0.000 3.950 0.000
0.000 0.000 20.403
Pa Se S
4 6 4
Cartesian
0.000 0.000 2.716
0.000 0.000 17.687
1.975 1.975 7.486
1.975 1.975 12.917
0.000 0.000 0.000
0.000 1.975 5.101
0.000 1.975 15.302
1.975 0.000 5.101
1.975 0.000 15.302
1.975 1.975 10.202
0.000 0.000 7.926
0.000 0.000 12.478
1.975 1.975 2.276
1.975 1.975 18.127
```

[13]
Calculated powder X-ray diffraction pattern
Compound: Pa4SiSeS2
Radiation: λ = 1.5418 Å (Cu Kα)
Structure: a crystal structure in Alexandria, relaxed with PBE

Main lines, low angle first (2θ from 10° to 90°):
2θ/deg  I_rel
26.8  68
27.9  62
31.6  50
31.8  100
44.1  20
45.5  75
53.0  23
54.9  21
55.3  21
57.8  19
75.2  17
75.4  17

```
Pa4SiSeS2
1.0
0.000 4.107 5.654
3.868 0.000 5.654
3.868 4.107 0.000
Pa Si Se S
4 1 1 2
Cartesian
1.934 2.054 0.000
3.868 4.107 2.792
1.934 2.054 5.654
3.868 4.107 8.517
0.000 0.000 0.000
3.868 4.107 5.654
1.934 2.054 2.827
5.802 6.161 8.482
```